Record 1
This entry pairs a crystal structure of Cr3B4PbO12 with its calculated powder XRD pattern. Radiation: copper Kα. Structure: a crystal structure in Alexandria, relaxed with GGA+U.

Principal peaks in the range 2θ from 10° to 80°, by angle:
2θ/deg, Rel. int.
15.69, 60.6
18.37, 40.0
24.25, 88.3
30.59, 38.6
31.68, 100.0
36.87, 30.7

```
data_Cr3B4PbO12
_chemical_formula_sum 'Cr3 B4 Pb1 O12'
_symmetry_space_group_name_H-M 'P 1'
_symmetry_Int_Tables_number 1
_symmetry_space_group_name_Hall 'P 1'
_cell_length_a 6.1334
_cell_length_b 6.1334
_cell_length_c 6.1334
_cell_angle_alpha 103.90
_cell_angle_beta 103.90
_cell_angle_gamma 103.90
loop_
_atom_site_label
_atom_site_type_symbol
_atom_site_fract_x
_atom_site_fract_y
_atom_site_fract_z
_atom_site_occupancy
Cr1 Cr 0.0000 0.5554 0.4446 1
Cr2 Cr 0.4446 0.0000 0.5554 1
Cr3 Cr 0.5554 0.4446 0.0000 1
B1 B 0.0552 0.5000 0.9448 1
B2 B 0.5000 0.5000 0.5000 1
B3 B 0.5000 0.9448 0.0552 1
B4 B 0.9448 0.0552 0.5000 1
Pb1 Pb 0.0000 0.0000 0.0000 1
O1 O 0.0342 0.6236 0.7851 1
O2 O 0.0885 0.9115 0.5000 1
O3 O 0.2149 0.3764 0.9658 1
O4 O 0.3560 0.6440 0.5000 1
O5 O 0.3764 0.9658 0.2149 1
O6 O 0.5000 0.0885 0.9115 1
O7 O 0.5000 0.3560 0.6440 1
O8 O 0.6236 0.7851 0.0342 1
O9 O 0.6440 0.5000 0.3560 1
O10 O 0.7851 0.0342 0.6236 1
O11 O 0.9115 0.5000 0.0885 1
O12 O 0.9658 0.2149 0.3764 1
```

***

Record 2
This entry pairs a crystal structure of CrB2Pb2O6 with its calculated powder XRD pattern. Radiation: copper Kα. Structure: a crystal structure in Alexandria, relaxed with GGA+U.

Principal peaks in the range 2θ from 10° to 80°, by angle:
2θ/deg, Rel. int.
22.29, 100.0
28.54, 64.9
28.70, 31.7
30.96, 61.7
34.48, 57.3
47.16, 39.4

```
data_CrB2Pb2O6
_chemical_formula_sum 'Cr1 B2 Pb2 O6'
_symmetry_space_group_name_H-M 'P 1'
_symmetry_Int_Tables_number 1
_symmetry_space_group_name_Hall 'P 1'
_cell_length_a 5.8360
_cell_length_b 5.8360
_cell_length_c 6.2695
_cell_angle_alpha 116.01
_cell_angle_beta 116.01
_cell_angle_gamma 52.89
loop_
_atom_site_label
_atom_site_type_symbol
_atom_site_fract_x
_atom_site_fract_y
_atom_site_fract_z
_atom_site_occupancy
Cr1 Cr 0.0000 0.0000 0.0000 1
B1 B 0.4999 0.4999 0.2356 1
B2 B 0.5001 0.5001 0.7644 1
Pb1 Pb 0.2033 0.2033 0.7090 1
Pb2 Pb 0.7967 0.7967 0.2910 1
O1 O 0.1924 0.6461 0.7321 1
O2 O 0.3540 0.3540 0.1672 1
O3 O 0.3539 0.8076 0.2679 1
O4 O 0.6461 0.1924 0.7321 1
O5 O 0.6460 0.6460 0.8328 1
O6 O 0.8076 0.3539 0.2679 1
```

***

Record 3
This entry pairs a crystal structure of CrBSbO5 with its calculated powder XRD pattern. Radiation: copper Kα. Structure: a crystal structure in Alexandria, relaxed with GGA+U.

Principal peaks in the range 2θ from 10° to 80°, by angle:
2θ/deg, Rel. int.
19.38, 100.0
25.77, 44.9
28.45, 94.6
30.57, 84.9
35.76, 55.8
36.04, 74.8

```
data_CrBSbO5
_chemical_formula_sum 'Cr2 B2 Sb2 O10'
_symmetry_space_group_name_H-M 'P 1'
_symmetry_Int_Tables_number 1
_symmetry_space_group_name_Hall 'P 1'
_cell_length_a 5.2139
_cell_length_b 5.2139
_cell_length_c 6.8689
_cell_angle_alpha 103.86
_cell_angle_beta 103.86
_cell_angle_gamma 104.83
loop_
_atom_site_label
_atom_site_type_symbol
_atom_site_fract_x
_atom_site_fract_y
_atom_site_fract_z
_atom_site_occupancy
Cr1 Cr 0.0000 0.0000 0.0000 1
Cr2 Cr 0.0000 0.0000 0.5000 1
B1 B 0.3241 0.6759 0.7500 1
B2 B 0.6759 0.3241 0.2500 1
Sb1 Sb 0.3382 0.6618 0.2500 1
Sb2 Sb 0.6618 0.3382 0.7500 1
O1 O 0.0918 0.9082 0.2500 1
O2 O 0.1178 0.6752 0.8712 1
O3 O 0.2692 0.3947 0.5931 1
O4 O 0.3248 0.8822 0.6288 1
O5 O 0.3947 0.2692 0.0931 1
O6 O 0.6053 0.7308 0.9069 1
O7 O 0.6752 0.1178 0.3712 1
O8 O 0.7308 0.6053 0.4069 1
O9 O 0.8822 0.3248 0.1288 1
O10 O 0.9082 0.0918 0.7500 1
```

***

Record 4
This entry pairs a crystal structure of YCrBO5 with its calculated powder XRD pattern. Radiation: copper Kα. Structure: a crystal structure in Alexandria, relaxed with GGA+U.

Principal peaks in the range 2θ from 10° to 80°, by angle:
2θ/deg, Rel. int.
19.53, 62.3
28.91, 100.0
31.02, 79.5
35.42, 78.8
35.91, 38.7
44.92, 49.0

```
data_YCrBO5
_chemical_formula_sum 'Y2 Cr2 B2 O10'
_symmetry_space_group_name_H-M 'P 1'
_symmetry_Int_Tables_number 1
_symmetry_space_group_name_Hall 'P 1'
_cell_length_a 5.2620
_cell_length_b 5.2620
_cell_length_c 6.7226
_cell_angle_alpha 103.28
_cell_angle_beta 103.28
_cell_angle_gamma 107.10
loop_
_atom_site_label
_atom_site_type_symbol
_atom_site_fract_x
_atom_site_fract_y
_atom_site_fract_z
_atom_site_occupancy
Y1 Y 0.1586 0.8414 0.7500 1
Y2 Y 0.8414 0.1586 0.2500 1
Cr1 Cr 0.5000 0.5000 0.0000 1
Cr2 Cr 0.5000 0.5000 0.5000 1
B1 B 0.1842 0.8158 0.2500 1
B2 B 0.8158 0.1842 0.7500 1
O1 O 0.1035 0.2448 0.9094 1
O2 O 0.1754 0.6161 0.3750 1
O3 O 0.2448 0.1035 0.4094 1
O4 O 0.3839 0.8246 0.1250 1
O5 O 0.4208 0.5792 0.7500 1
O6 O 0.5792 0.4208 0.2500 1
O7 O 0.6161 0.1754 0.8750 1
O8 O 0.7552 0.8965 0.5906 1
O9 O 0.8246 0.3839 0.6250 1
O10 O 0.8965 0.7552 0.0906 1
```

***

Number 4 is which compound?
YCrBO5